(1)
Theoretical X-ray powder pattern of MgCr2Cl for Cu Kα, from a GGA-PBE-relaxed structure.
Lines closer than 0.1° are merged.

Cell and atoms:
Cell: 3.1150 3.1150 8.0793 Å, 90.00 90.00 90.22°
Fractional coordinates of all 4 atoms:
Mg 0.0000 0.0000 0.0000
Cr 0.0000 0.0000 0.3977
Cr 0.5000 0.5000 0.2542
Cl 0.5000 0.5000 0.8204

Most intense lines, 2θ from 5° to 70°, in order of rising 2θ:
10.95 deg, rel. 92
22.00 deg, rel. 57
30.76 deg, rel. 13
36.42 deg, rel. 100
40.89 deg, rel. 35
41.06 deg, rel. 35
44.47 deg, rel. 56
46.91 deg, rel. 12
54.12 deg, rel. 18
59.34 deg, rel. 21

(2)
Theoretical X-ray powder pattern of MgCrPbCl6 for Cu Kα, from a GGA-PBE-relaxed structure.
Lines closer than 0.1° are merged.

Cell and atoms:
Cell: 6.5096 6.5096 12.6361 Å, 90.00 90.00 120.00°
Fractional coordinates of all 18 atoms:
Mg 0.3333 0.6667 0.2500
Mg 0.6667 0.3333 0.7500
Cr 0.3333 0.6667 0.7500
Cr 0.6667 0.3333 0.2500
Pb 0.0000 0.0000 0.0000
Pb 0.0000 0.0000 0.5000
Cl 0.0034 0.3657 0.6382
Cl 0.0034 0.6376 0.8618
Cl 0.3624 0.3657 0.8618
Cl 0.3624 0.9966 0.6382
Cl 0.3657 0.0034 0.1382
Cl 0.3657 0.3624 0.3618
Cl 0.6343 0.6376 0.6382
Cl 0.6343 0.9966 0.8618
Cl 0.6376 0.0034 0.3618
Cl 0.6376 0.6343 0.1382
Cl 0.9966 0.3624 0.1382
Cl 0.9966 0.6343 0.3618

Most intense lines, 2θ from 5° to 70°, in order of rising 2θ:
15.72 deg, rel. 29
21.12 deg, rel. 100
27.40 deg, rel. 13
30.91 deg, rel. 33
31.75 deg, rel. 14
32.49 deg, rel. 20
34.85 deg, rel. 26
39.76 deg, rel. 48
44.89 deg, rel. 29
48.44 deg, rel. 20

(3)
Theoretical X-ray powder pattern of Rb6Mn2CrCl12 for Cu Kα, from a GGA-PBE-relaxed structure.
Lines closer than 0.1° are merged.

Cell and atoms:
Cell: 24.6758 24.6758 24.6758 Å, 168.16 168.16 16.78°
Fractional coordinates of all 21 atoms:
Rb 0.0462 0.0462 0.0000
Rb 0.2862 0.2862 0.0000
Rb 0.3815 0.3815 0.0000
Rb 0.6185 0.6185 0.0000
Rb 0.7138 0.7138 0.0000
Rb 0.9538 0.9538 0.0000
Mn 0.1663 0.1663 0.0000
Mn 0.8337 0.8337 0.0000
Cr 0.5000 0.5000 0.0000
Cl 0.0000 0.5000 0.5000
Cl 0.1144 0.1144 0.0000
Cl 0.1662 0.6662 0.5000
Cl 0.2182 0.2182 0.0000
Cl 0.3338 0.8338 0.5000
Cl 0.4497 0.4497 0.0000
Cl 0.5000 0.0000 0.5000
Cl 0.5503 0.5503 0.0000
Cl 0.6662 0.1662 0.5000
Cl 0.7818 0.7818 0.0000
Cl 0.8338 0.3338 0.5000
Cl 0.8856 0.8856 0.0000

Most intense lines, 2θ from 5° to 70°, in order of rising 2θ:
10.87 deg, rel. 32
23.97 deg, rel. 75
24.73 deg, rel. 98
33.02 deg, rel. 37
33.23 deg, rel. 89
35.25 deg, rel. 100
43.08 deg, rel. 33
49.08 deg, rel. 44
50.71 deg, rel. 33
61.98 deg, rel. 26

(4)
Theoretical X-ray powder pattern of Rb2CrMoCl6 for Cu Kα, from a GGA-PBE-relaxed structure.
Lines closer than 0.1° are merged.

Cell and atoms:
Cell: 7.0213 7.0213 7.0213 Å, 114.79 114.79 99.28°
Fractional coordinates of all 10 atoms:
Rb 0.2500 0.7500 0.5000
Rb 0.7500 0.2500 0.5000
Cr 0.0000 0.0000 0.0000
Mo 0.5000 0.5000 0.0000
Cl 0.2440 0.2440 0.0000
Cl 0.2657 0.2657 0.5314
Cl 0.2657 0.7343 0.0000
Cl 0.7343 0.2657 0.0000
Cl 0.7343 0.7343 0.4686
Cl 0.7560 0.7560 0.0000

Most intense lines, 2θ from 5° to 70°, in order of rising 2θ:
23.52 deg, rel. 56
25.71 deg, rel. 90
30.74 deg, rel. 49
33.50 deg, rel. 100
39.64 deg, rel. 31
42.70 deg, rel. 44
46.61 deg, rel. 18
48.10 deg, rel. 32
52.85 deg, rel. 49
64.03 deg, rel. 26

(5)
Theoretical X-ray powder pattern of CrN2Cl for Cu Kα, from a GGA-PBE-relaxed structure.
Lines closer than 0.1° are merged.

Cell and atoms:
Cell: 5.6641 5.6641 5.6641 Å, 60.00 60.00 60.00°
Fractional coordinates of all 8 atoms:
Cr 0.1250 0.1250 0.1250
Cr 0.8750 0.8750 0.8750
N 0.0000 0.0000 0.0000
N 0.0000 0.0000 0.5000
N 0.0000 0.5000 0.0000
N 0.5000 0.0000 0.0000
Cl 0.3750 0.3750 0.3750
Cl 0.6250 0.6250 0.6250

Most intense lines, 2θ from 5° to 70°, in order of rising 2θ:
19.19 deg, rel. 21
31.59 deg, rel. 100
38.95 deg, rel. 3
45.28 deg, rel. 8
49.61 deg, rel. 4
56.26 deg, rel. 32
65.97 deg, rel. 15
69.41 deg, rel. 2

(6)
Theoretical X-ray powder pattern of Rb3NaCr2Cl9 for Cu Kα, from a GGA-PBE-relaxed structure.
Lines closer than 0.1° are merged.

Cell and atoms:
Cell: 7.1762 7.1762 8.8790 Å, 90.00 90.00 120.00°
Fractional coordinates of all 15 atoms:
Rb 0.0000 0.0000 0.0000
Rb 0.3333 0.6667 0.6614
Rb 0.6667 0.3333 0.3386
Na 0.0000 0.0000 0.5000
Cr 0.3333 0.6667 0.1621
Cr 0.6667 0.3333 0.8379
Cl 0.0000 0.5000 0.0000
Cl 0.1759 0.3518 0.3133
Cl 0.1759 0.8241 0.3133
Cl 0.3518 0.1759 0.6867
Cl 0.5000 0.0000 0.0000
Cl 0.5000 0.5000 0.0000
Cl 0.6482 0.8241 0.3133
Cl 0.8241 0.1759 0.6867
Cl 0.8241 0.6482 0.6867

Most intense lines, 2θ from 5° to 70°, in order of rising 2θ:
24.64 deg, rel. 44
24.81 deg, rel. 41
30.20 deg, rel. 20
30.48 deg, rel. 61
35.25 deg, rel. 100
43.59 deg, rel. 19
50.53 deg, rel. 31
50.90 deg, rel. 32
60.33 deg, rel. 14
63.43 deg, rel. 15

(7)
Theoretical X-ray powder pattern of NaSr2CrCl8 for Cu Kα, from a GGA-PBE-relaxed structure.
Lines closer than 0.1° are merged.

Cell and atoms:
Cell: 6.2389 8.6305 6.3927 Å, 90.00 90.91 90.00°
Fractional coordinates of all 12 atoms:
Na 0.0000 0.0000 0.0000
Sr 0.5000 0.2543 0.5000
Sr 0.5000 0.7457 0.5000
Cr 0.0000 0.5000 0.0000
Cl 0.2100 0.2994 0.8534
Cl 0.2100 0.7006 0.8534
Cl 0.2294 0.5000 0.3053
Cl 0.2688 0.0000 0.3293
Cl 0.7312 0.0000 0.6707
Cl 0.7706 0.5000 0.6947
Cl 0.7900 0.2994 0.1466
Cl 0.7900 0.7006 0.1466

Most intense lines, 2θ from 5° to 70°, in order of rising 2θ:
10.25 deg, rel. 34
19.73 deg, rel. 100
20.05 deg, rel. 72
25.09 deg, rel. 63
28.89 deg, rel. 99
31.24 deg, rel. 43
38.10 deg, rel. 97
38.46 deg, rel. 42
40.74 deg, rel. 32
47.60 deg, rel. 49